Structure and computed powder diffractogram of Pr4Nd2Ho3 (a PBE-relaxed structure; CuKα).
Lines closer than 0.1° are merged.

Top 12 peaks for 10 to 80 degrees two-theta, most intense first:
index, 2theta, d [Å], Rel. int.
1 0 5, 32.79, 2.731, 100.0
1 0 4, 31.23, 2.864, 63.2
0 0 9, 29.54, 3.024, 47.8
1 0 0, 28.26, 3.158, 45.8
1 1 9, 59.18, 1.561, 40.3
1 1 0, 50.03, 1.823, 37.0
1 0 14, 55.51, 1.655, 31.2
0 1 9, 41.34, 2.184, 29.4
2 0 5, 61.12, 1.516, 18.0
0 2 14, 77.96, 1.226, 11.5
0 1 6, 34.61, 2.592, 11.1
1 0 3, 29.96, 2.982, 10.1

Crystal structure
a b c (Å): 3.6463 3.6463 27.2154
angles (deg): 90.00 90.00 120.00
Space group P3m1 (No. 156)
Asymmetric unit:
Pr (0.0000, 0.0000, 0.0000) (multiplicity 1)
Pr (0.0000, 0.0000, 0.2123) (multiplicity 1)
Pr (0.3333, 0.6667, 0.3278) (multiplicity 1)
Pr (0.3333, 0.6667, 0.5423) (multiplicity 1)
Nd (0.0000, 0.0000, 0.6565) (multiplicity 1)
Nd (0.0000, 0.0000, 0.8671) (multiplicity 1)
Ho (0.0000, 0.0000, 0.4349) (multiplicity 1)
Ho (0.3333, 0.6667, 0.1046) (multiplicity 1)
Ho (0.3333, 0.6667, 0.7634) (multiplicity 1)